1.
Starting from a structure optimized by DFT (PBE), the PXRD pattern of Zn2PC was simulated for a wavelength of 1.5418 Å.
No peak broadening, texture or thermal motion is included.

Top 10 peaks for 10 to 90 degrees two-theta, by angle:
two_theta, intensity
28.15, 20
29.48, 15
32.37, 100
41.55, 8
47.31, 20
50.94, 35
51.76, 10
52.55, 24
58.21, 8
70.04, 8

Crystal structure
```
Zn2PC
1.0
-2.173 2.173 6.339
2.173 -2.173 6.339
2.173 2.173 -6.339
Zn P C
4 2 2
Cartesian
3.260 0.771 -1.585 Zn
0.771 1.087 1.585 Zn
-1.087 1.402 4.755 Zn
1.402 1.087 7.924 Zn
2.173 0.000 3.170 P
0.000 0.000 6.339 P
0.000 0.000 0.000 C
0.000 2.173 3.170 C
```

2.
Starting from a structure optimized by DFT (PBE), the PXRD pattern of LaPm2Ga2Pt7 was simulated for a wavelength of 1.5418 Å.
No peak broadening, texture or thermal motion is included.

Top 10 peaks for 10 to 90 degrees two-theta, by angle:
two_theta, intensity
31.43, 52
31.63, 30
33.34, 38
33.63, 57
35.13, 83
35.23, 30
36.32, 100
43.82, 96
44.06, 32
74.15, 29

Crystal structure
```
LaPm2Ga2Pt7
1.0
2.943 -2.905 0.000
2.943 2.905 0.000
-2.200 0.000 14.145
La Pm Ga Pt
1 2 2 7
Cartesian
0.000 0.000 0.000 La
-0.097 0.000 5.094 Pm
3.782 0.000 9.051 Pm
0.739 0.000 10.489 Ga
2.946 0.000 3.656 Ga
1.474 1.451 2.255 Pt
0.915 0.000 8.043 Pt
2.212 1.451 11.890 Pt
2.943 0.000 0.000 Pt
1.474 -1.451 2.255 Pt
2.770 0.000 6.102 Pt
2.212 -1.451 11.890 Pt
```